Ho4Al2CdIn: computed powder X-ray diffraction pattern (λ = 1.5418 Å (Cu Kα)), based on DFT lattice parameters and positions (PBE).
Neutral-atom scattering factors, no anomalous dispersion.

Principal peaks in the range 10 to 90 degrees two-theta, by angle:
2theta	Rel. int.
24.3	18.4
34.6	100.0
49.8	17.8
62.1	36.5
73.1	11.3
83.4	16.0

Cell and atoms:
```
Ho4Al2CdIn
1.0
2.591 1.496 8.455
-2.591 1.496 8.455
0.000 -2.992 8.455
Ho Al Cd In
4 2 1 1
Direct
0.125 0.125 0.125
0.375 0.375 0.375
0.625 0.625 0.625
0.875 0.875 0.875
0.251 0.251 0.251
0.749 0.749 0.749
0.000 0.000 0.000
0.500 0.500 0.500
```